Starting from DFT lattice parameters and positions (PBE), the powder diffractogram of ZnCu2Ge was simulated for Cu Kα, 1.54184 Å.
Kinematic intensities with the Lorentz-polarization factor, no thermal factor.

Principal peaks in the range 2θ = 10–80°, sorted by position:
2θ/deg	I (rel.)	(hkl)
41.08	100.0	1 1 1
47.45	32.4	2 0 0
48.48	15.2	0 0 2
69.36	9.7	2 2 0
70.18	18.7	2 0 2

Crystal structure
Lattice parameters (Å, degrees): 3.832 3.832 3.755 90.00 90.00 90.00
Space group P4/mmm (No. 123)
Inequivalent atoms, fractional coordinates:
Zn 0.000 0.000 0.000 [1 per cell]
Cu 0.000 0.500 0.500 [2 per cell]
Ge 0.500 0.500 0.000 [1 per cell]



Starting from DFT lattice parameters and positions (PBE), the powder diffractogram of ZnCuGe was simulated for Cu Kα, 1.54184 Å.
Kinematic intensities with the Lorentz-polarization factor, no thermal factor.

Principal peaks in the range 2θ = 10–80°, sorted by position:
2θ/deg	I (rel.)	(hkl)
23.15	31.3	0 1 0
29.15	93.9	0 1 1
42.55	60.5	1 1 0
42.71	100.0	0 1 2
42.85	53.8	1 0 1
43.24	84.2	1 1 -1
44.89	45.5	1 0 -2
47.32	48.8	0 2 0

Crystal structure
Lattice parameters (Å, degrees): 2.606 3.842 5.186 90.00 101.91 90.00
Space group Pm (No. 6)
Inequivalent atoms, fractional coordinates:
Zn 0.000 0.000 0.000 [1 per cell]
Cu 0.326 0.000 0.575 [1 per cell]
Ge 0.727 0.500 0.347 [1 per cell]



Starting from DFT lattice parameters and positions (PBE), the powder diffractogram of Zn2Cu7Ge2 was simulated for Cu Kα, 1.54184 Å.
Kinematic intensities with the Lorentz-polarization factor, no thermal factor.

Principal peaks in the range 2θ = 10–80°, sorted by position:
2θ/deg	I (rel.)	(hkl)
37.71	22.9	1 3 0
42.53	32.7	1 1 -3
43.30	100.0	2 2 -1
44.04	68.6	0 2 3
44.55	48.6	2 0 2
44.81	45.7	0 4 0
46.19	22.2	1 3 2
65.03	22.7	2 4 2

Crystal structure
Lattice parameters (Å, degrees): 5.110 8.091 7.172 90.00 92.69 90.00
Space group C2/m (No. 12)
Inequivalent atoms, fractional coordinates:
Zn 0.000 0.228 0.000 [4 per cell]
Cu 0.000 0.500 0.500 [2 per cell]
Cu 0.133 0.223 0.348 [8 per cell]
Cu 0.165 0.500 0.861 [4 per cell]
Ge 0.178 0.000 0.753 [4 per cell]



Starting from DFT lattice parameters and positions (PBE), the powder diffractogram of Zn2Cu3Ge was simulated for Cu Kα, 1.54184 Å.
Kinematic intensities with the Lorentz-polarization factor, no thermal factor.

Principal peaks in the range 2θ = 10–80°, sorted by position:
2θ/deg	I (rel.)	(hkl)
32.66	10.9	0 2 0
36.02	56.7	2 2 0
41.53	100.0	4 0 -2
44.80	45.5	4 2 0
45.39	33.7	6 0 0
48.96	59.1	2 2 -2
62.73	14.9	6 2 -2
74.95	19.0	8 2 -2

Crystal structure
Lattice parameters (Å, degrees): 12.269 5.484 5.183 90.00 102.25 90.00
Space group C2/c (No. 15)
Inequivalent atoms, fractional coordinates:
Zn 0.171 0.013 0.088 [8 per cell]
Cu 0.000 0.226 0.250 [4 per cell]
Cu 0.148 0.493 0.572 [8 per cell]
Ge 0.000 0.262 0.750 [4 per cell]



Starting from DFT lattice parameters and positions (PBE), the powder diffractogram of Zr2CuGe2 was simulated for Cu Kα, 1.54184 Å.
Kinematic intensities with the Lorentz-polarization factor, no thermal factor.

Principal peaks in the range 2θ = 10–80°, sorted by position:
2θ/deg	I (rel.)	(hkl)
29.25	18.7	0 0 2
31.73	51.1	0 2 2
37.10	37.0	1 1 2
37.29	100.0	1 5 0
38.17	16.8	0 4 2
41.03	74.8	1 3 2
43.80	42.0	2 0 0
58.19	18.0	0 8 2

Crystal structure
Lattice parameters (Å, degrees): 4.134 14.841 6.106 90.00 90.00 90.00
Space group Cmc2_1 (No. 36)
Inequivalent atoms, fractional coordinates:
Zr 0.000 0.010 0.000 [4 per cell]
Zr 0.000 0.198 0.309 [4 per cell]
Cu 0.000 0.393 0.161 [4 per cell]
Ge 0.000 0.176 0.785 [4 per cell]
Ge 0.000 0.428 0.761 [4 per cell]



Starting from DFT lattice parameters and positions (PBE), the powder diffractogram of Zr4Cu5Ge6 was simulated for Cu Kα, 1.54184 Å.
Kinematic intensities with the Lorentz-polarization factor, no thermal factor.

Principal peaks in the range 2θ = 10–80°, sorted by position:
2θ/deg	I (rel.)	(hkl)
33.78	22.2	1 5 0
33.90	26.3	1 1 4
34.37	26.0	1 5 1
36.88	22.7	1 3 4
38.78	100.0	1 5 3
42.28	24.9	1 5 4
45.44	52.5	2 0 0
49.53	25.4	1 7 4

Crystal structure
Lattice parameters (Å, degrees): 3.992 17.758 14.408 90.00 90.00 90.00
Space group Cmc2_1 (No. 36)
Inequivalent atoms, fractional coordinates:
Zr 0.000 0.020 0.000 [4 per cell]
Zr 0.000 0.032 0.264 [4 per cell]
Zr 0.000 0.168 0.804 [4 per cell]
Zr 0.000 0.178 0.442 [4 per cell]
Cu 0.000 0.149 0.125 [4 per cell]
Cu 0.000 0.303 0.122 [4 per cell]
Cu 0.000 0.346 0.777 [4 per cell]
Cu 0.000 0.352 0.482 [4 per cell]
Cu 0.000 0.434 0.188 [4 per cell]
Ge 0.000 0.111 0.616 [4 per cell]
Ge 0.000 0.222 0.986 [4 per cell]
Ge 0.000 0.227 0.261 [4 per cell]
Ge 0.000 0.429 0.915 [4 per cell]
Ge 0.000 0.434 0.631 [4 per cell]
Ge 0.000 0.438 0.354 [4 per cell]



Starting from DFT lattice parameters and positions (PBE), the powder diffractogram of CuH was simulated for Cu Kα, 1.54184 Å.
Kinematic intensities with the Lorentz-polarization factor, no thermal factor.

Principal peaks in the range 2θ = 10–80°, sorted by position:
2θ/deg	I (rel.)	(hkl)
36.86	28.4	1 0 1
37.01	52.2	2 0 0
41.44	100.0	1 1 1
41.57	54.4	2 1 0
66.61	25.8	3 0 1
69.74	9.9	3 1 1
78.44	9.7	2 0 2
78.72	15.9	3 2 1

Crystal structure
Lattice parameters (Å, degrees): 4.857 4.857 2.819 90.00 90.00 90.00
Space group P4_2/mnm (No. 136)
Inequivalent atoms, fractional coordinates:
Cu 0.189 0.189 0.000 [4 per cell]
H 0.174 0.826 0.000 [4 per cell]



Starting from DFT lattice parameters and positions (PBE), the powder diffractogram of Cu8H was simulated for Cu Kα, 1.54184 Å.
Kinematic intensities with the Lorentz-polarization factor, no thermal factor.

Principal peaks in the range 2θ = 10–80°, sorted by position:
2θ/deg	I (rel.)	(hkl)
40.23	24.4	2 0 0
42.77	27.3	0 0 2
45.81	100.0	2 0 1
60.16	14.0	0 2 2
73.12	14.7	2 2 0

Crystal structure
Lattice parameters (Å, degrees): 5.1769 5.1769 4.2285 90.00 90.00 120.00
Space group P-3m1 (No. 164)
Inequivalent atoms, fractional coordinates:
Cu 0.1701 0.3402 0.2473 [6 per cell]
Cu 0.3333 0.6667 0.7538 [2 per cell]
H 0.0000 0.0000 0.5000 [1 per cell]



Starting from DFT lattice parameters and positions (PBE), the powder diffractogram of CuH was simulated for Cu Kα, 1.54184 Å.
Kinematic intensities with the Lorentz-polarization factor, no thermal factor.

Principal peaks in the range 2θ = 10–80°, sorted by position:
2θ/deg	I (rel.)	(hkl)
25.84	49.1	1 1 0
36.86	9.4	2 0 0
41.40	100.0	2 1 0
45.57	20.0	2 1 1
59.99	8.2	3 1 0
66.41	17.5	2 2 2
69.50	19.4	3 2 0
72.53	8.8	3 2 1

Crystal structure
Lattice parameters (Å, degrees): 4.876 4.876 4.876 90.00 90.00 90.00
Space group Pm-3n (No. 223)
Inequivalent atoms, fractional coordinates:
Cu 0.000 0.250 0.500 [6 per cell]
H 0.000 0.500 0.250 [6 per cell]



Starting from DFT lattice parameters and positions (PBE), the powder diffractogram of HoCuH was simulated for Cu Kα, 1.54184 Å.
Kinematic intensities with the Lorentz-polarization factor, no thermal factor.

Principal peaks in the range 2θ = 10–80°, sorted by position:
2θ/deg	I (rel.)	(hkl)
24.90	39.1	1 1 -1
32.15	43.5	2 0 0
33.86	100.0	1 1 1
34.43	80.9	0 2 1
39.07	49.3	1 0 -2
41.57	42.3	2 2 -1
44.37	27.9	1 3 0
63.44	29.0	3 1 1

Crystal structure
Lattice parameters (Å, degrees): 6.024 6.584 4.611 90.00 112.41 90.00
Space group P2_1/c (No. 14)
Inequivalent atoms, fractional coordinates:
Ho 0.216 0.071 0.357 [4 per cell]
Cu 0.352 0.660 0.425 [4 per cell]
H 0.159 0.064 0.829 [4 per cell]



Starting from DFT lattice parameters and positions (PBE), the powder diffractogram of CuH12I6 was simulated for Cu Kα, 1.54184 Å.
Kinematic intensities with the Lorentz-polarization factor, no thermal factor.

Principal peaks in the range 2θ = 10–80°, sorted by position:
2θ/deg	I (rel.)	(hkl)
11.28	20.1	0 1 0
22.67	100.0	0 2 0
32.74	27.6	2 0 0
34.73	10.0	2 1 -2
39.80	22.5	0 2 2
40.19	15.0	2 2 -2
46.26	9.5	0 4 0
46.69	12.9	2 0 -4

Crystal structure
Lattice parameters (Å, degrees): 5.976 9.261 9.273 115.48 102.32 102.32
Space group P-1 (No. 2)
Inequivalent atoms, fractional coordinates:
Cu 0.000 0.000 0.000 [1 per cell]
H 0.037 0.779 0.846 [2 per cell]
H 0.129 0.812 0.936 [2 per cell]
H 0.190 0.153 0.932 [2 per cell]
H 0.192 0.063 0.876 [2 per cell]
H 0.259 0.067 0.221 [2 per cell]
H 0.317 0.123 0.187 [2 per cell]
I 0.249 0.993 0.503 [2 per cell]
I 0.254 0.503 0.509 [2 per cell]
I 0.256 0.510 0.007 [2 per cell]



Starting from DFT lattice parameters and positions (PBE), the powder diffractogram of CuH2I4 was simulated for Cu Kα, 1.54184 Å.
Kinematic intensities with the Lorentz-polarization factor, no thermal factor.

Principal peaks in the range 2θ = 10–80°, sorted by position:
2θ/deg	I (rel.)	(hkl)
26.65	100.0	1 1 2
28.73	13.9	0 0 4
31.88	21.6	2 0 0
43.45	31.5	2 0 4
45.71	13.8	2 2 0
49.64	15.7	1 1 6
53.70	25.8	3 1 2
69.77	10.8	3 1 6

Crystal structure
Lattice parameters (Å, degrees): 5.614 5.614 12.428 90.00 90.00 90.00
Space group I-42m (No. 121)
Inequivalent atoms, fractional coordinates:
Cu 0.000 0.000 0.000 [2 per cell]
H 0.000 0.500 0.000 [4 per cell]
I 0.238 0.238 0.617 [8 per cell]



Starting from DFT lattice parameters and positions (PBE), the powder diffractogram of Cu4H2I5 was simulated for Cu Kα, 1.54184 Å.
Kinematic intensities with the Lorentz-polarization factor, no thermal factor.

Principal peaks in the range 2θ = 10–80°, sorted by position:
2θ/deg	I (rel.)	(hkl)
21.79	57.3	0 2 0
21.89	56.4	1 -1 0
25.36	98.5	0 1 2
26.68	100.0	1 1 -1
27.47	96.9	1 1 0
31.48	81.2	0 1 -3
42.65	53.4	-2 1 1
44.49	58.7	0 4 0

Crystal structure
Lattice parameters (Å, degrees): 4.243 8.558 8.820 97.21 101.51 104.25
Space group P-1 (No. 2)
Inequivalent atoms, fractional coordinates:
Cu 0.173 0.231 0.060 [2 per cell]
Cu 0.318 0.522 0.249 [2 per cell]
H 0.113 0.407 0.083 [2 per cell]
I 0.095 0.297 0.770 [2 per cell]
I 0.325 0.268 0.371 [2 per cell]
I 0.500 0.000 0.000 [1 per cell]